Calculated X-ray powder pattern of CsYCdCl6 for Cu Ka, from a structure optimized by DFT (PBE).
Peak positions follow from Bragg's law for the DFT cell and can differ from measured ones.

Cell and atoms:
Cell lengths 6.9989, 6.9989, 7.7188 Å; angles 90.00, 90.00, 120.00 degrees
Fractional positions:
1 Cs 0.0000 0.0000 0.0000
2 Y 0.3333 0.6667 0.5000
3 Cd 0.6667 0.3333 0.5000
4 Cl 0.0011 0.3820 0.3010
5 Cl 0.0011 0.6192 0.6990
6 Cl 0.3808 0.3820 0.6990
7 Cl 0.3808 0.9989 0.3010
8 Cl 0.6180 0.6192 0.3010
9 Cl 0.6180 0.9989 0.6990

Largest 12 diffraction maxima, by intensity, 15 to 90 degrees two-theta:
two_theta	I/Imax
18.61	100
34.60	64
41.10	26
25.45	21
44.86	20
31.72	19
27.99	18
46.29	13
55.98	13
37.99	11
57.86	11
54.29	11

Calculated X-ray powder pattern of TcMo for Cu Ka, from a structure optimized by DFT (PBE).
Peak positions follow from Bragg's law for the DFT cell and can differ from measured ones.

Cell and atoms:
Cell lengths 5.1801, 5.1801, 5.1801 Å; angles 144.78, 129.50, 63.06 degrees
Fractional positions:
1 Tc 0.3669 0.1169 0.2500
2 Tc 0.6331 0.8831 0.7500
3 Mo 0.1184 0.3684 0.7500
4 Mo 0.8816 0.6316 0.2500

Largest 8 diffraction maxima, by intensity, 15 to 90 degrees two-theta:
two_theta	I/Imax
40.81	100
74.35	21
74.19	11
59.16	11
88.36	7
58.93	6
88.55	3
36.68	1

Calculated X-ray powder pattern of Pm4Dy3Tm4 for Cu Ka, from a structure optimized by DFT (PBE).
Peak positions follow from Bragg's law for the DFT cell and can differ from measured ones.

Cell and atoms:
Cell lengths 3.5024, 5.6297, 18.0947 Å; angles 98.94, 95.54, 90.01 degrees
Fractional positions:
1 Pm 0.0904 0.0903 0.1810
2 Pm 0.2327 0.7324 0.4650
3 Pm 0.7673 0.2676 0.5350
4 Pm 0.9096 0.9097 0.8190
5 Dy 0.3647 0.3644 0.7285
6 Dy 0.5000 0.0000 0.0000
7 Dy 0.6353 0.6356 0.2715
8 Tm 0.0448 0.5451 0.0905
9 Tm 0.1800 0.1803 0.3612
10 Tm 0.8200 0.8197 0.6388
11 Tm 0.9552 0.4549 0.9095

Largest 12 diffraction maxima, by intensity, 15 to 90 degrees two-theta:
two_theta	I/Imax
31.75	100
31.91	72
62.51	32
31.01	28
45.00	20
56.71	14
57.19	13
46.22	12
56.60	12
80.72	11
52.24	9
55.85	9